(1)
Starting from the PBE geometry in Alexandria, the powder diffraction line list of La2CF2 was calculated for a wavelength of 1.5418 Å.

Cell and atoms:
Cell: 10.780 6.356 5.380 Å, 90.00 90.00 90.00°
Space group Pbcm (No. 57)
Symmetry-distinct sites (fractional):
La: 0.107 0.044 0.250
La: 0.355 0.518 0.250
C: 0.140 0.058 0.750
F: 0.325 0.595 0.750
F: 0.464 0.250 0.000

Principal peaks in the range 2θ from 15° to 90°, low angle first:
2theta	I/Imax
27.3	100.0
28.1	25.3
33.3	38.1
44.1	34.0
47.8	14.0
49.2	16.4
55.9	23.7
56.3	11.3

---

(2)
Starting from the PBE geometry in Alexandria, the powder diffraction line list of Ac3CoP2N6 was calculated for a wavelength of 1.5418 Å.

Cell and atoms:
Cell: 5.5928 5.5928 6.6608 Å, 90.00 90.00 120.00°
Space group P-3m1 (No. 164)
Symmetry-distinct sites (fractional):
Ac: 0.0000 0.0000 0.0000
Ac: 0.3333 0.6667 0.6581
Co: 0.0000 0.0000 0.5000
P: 0.3333 0.6667 0.2157
N: 0.1711 0.3422 0.3035

Principal peaks in the range 2θ from 15° to 90°, low angle first:
2theta	I/Imax
22.7	100.0
32.0	97.3
32.6	90.0
39.6	36.9
46.4	43.0
51.8	25.0
52.6	25.4
57.4	36.8

---

(3)
Starting from the PBE geometry in Alexandria, the powder diffraction line list of Sr4Cd5Bi7 was calculated for a wavelength of 1.5418 Å.

Cell and atoms:
Cell: 6.673 6.673 22.653 Å, 90.00 90.00 90.00°
Space group I-42m (No. 121)
Symmetry-distinct sites (fractional):
Sr: 0.241 0.241 0.382
Cd: 0.000 0.000 0.000
Cd: 0.000 0.000 0.252
Cd: 0.000 0.500 0.250
Bi: 0.000 0.000 0.500
Bi: 0.000 0.500 0.000
Bi: 0.242 0.242 0.160

Principal peaks in the range 2θ from 15° to 90°, low angle first:
2theta	I/Imax
23.6	11.1
24.6	20.7
31.1	100.0
37.0	12.9
38.1	38.5
50.3	11.3
55.0	13.0
64.6	24.3

---

(4)
Starting from the PBE geometry in Alexandria, the powder diffraction line list of AcMgTl3 was calculated for a wavelength of 1.5418 Å.

Cell and atoms:
Cell: 4.906 7.591 8.124 Å, 90.00 90.00 90.00°
Space group Pmmn (No. 59, origin choice 2)
Symmetry-distinct sites (fractional):
Ac: 0.250 0.250 0.187
Mg: 0.250 0.750 0.457
Tl: 0.250 0.048 0.694
Tl: 0.250 0.750 0.098

Principal peaks in the range 2θ from 15° to 90°, low angle first:
2theta	I/Imax
21.9	21.2
25.9	23.5
28.5	56.8
30.9	29.8
31.8	100.0
36.6	30.4
40.9	20.0
62.9	22.9

---

What is the formula in the fourth record?
AcMgTl3

---

Repeat the fourth record exactly.
Starting from the PBE geometry in Alexandria, the powder diffraction line list of AcMgTl3 was calculated for a wavelength of 1.5418 Å.

Cell and atoms:
Cell: 4.906 7.591 8.124 Å, 90.00 90.00 90.00°
Space group Pmmn (No. 59, origin choice 2)
Symmetry-distinct sites (fractional):
Ac: 0.250 0.250 0.187
Mg: 0.250 0.750 0.457
Tl: 0.250 0.048 0.694
Tl: 0.250 0.750 0.098

Principal peaks in the range 2θ from 15° to 90°, low angle first:
2theta	I/Imax
21.9	21.2
25.9	23.5
28.5	56.8
30.9	29.8
31.8	100.0
36.6	30.4
40.9	20.0
62.9	22.9